This entry pairs a crystal structure of YWF with its calculated PXRD pattern. Radiation: a wavelength of 1.5418 Å. Structure: a structure optimized by DFT (PBE+U).
Neutral-atom scattering factors, no anomalous dispersion.

Structure:
```
YWF
1.0
3.636 0.000 0.000
0.000 3.988 0.000
0.000 0.000 8.070
Y W F
2 2 2
direct
0.250 0.250 0.190 Y
0.750 0.750 0.810 Y
0.250 0.750 0.500 W
0.750 0.250 0.500 W
0.250 0.750 0.010 F
0.750 0.250 0.990 F
```

Main lines, in order of falling intensity (2θ = 10–80°):
11.0 deg, d 8.070, I 100.0, (0 0 1); 40.3 deg, d 2.237, I 81.4, (1 1 2); 35.2 deg, d 2.550, I 63.2, (1 1 1); 33.3 deg, d 2.689, I 40.4, (0 0 3); 22.0 deg, d 4.035, I 24.6, (0 0 2); 45.5 deg, d 1.994, I 17.1, (0 2 0); 57.1 deg, d 1.613, I 16.2, (1 1 4); 67.7 deg, d 1.384, I 15.8, (1 1 5); 24.9 deg, d 3.576, I 14.4, (0 1 1); 57.5 deg, d 1.602, I 13.9, (0 2 3); 79.8 deg, d 1.202, I 12.9, (2 2 3); 70.0 deg, d 1.344, I 12.8, (2 2 0)